Diffraction record for Er5Ni2Te2. The X-ray powder pattern is calculated, not measured: it uses a crystal structure in the Materials Project, relaxed with GGA-PBE and Cu Kα X-rays.
No peak broadening, texture or thermal motion is included.

Most intense lines, 2θ from 15° to 90°, sorted by position:
- hkl 1 3 0, 28.84 deg, d 3.096, rel. 30
- hkl 1 3 1, 29.47 deg, d 3.031, rel. 80
- hkl 1 1 4, 33.62 deg, d 2.666, rel. 62
- hkl 0 4 4, 34.12 deg, d 2.627, rel. 100
- hkl 1 5 0, 37.81 deg, d 2.379, rel. 24
- hkl 1 1 5, 38.34 deg, d 2.348, rel. 35
- hkl 2 0 0, 45.81 deg, d 1.981, rel. 30
- hkl 0 0 8, 49.03 deg, d 1.858, rel. 24
- hkl 1 7 5, 58.21 deg, d 1.585, rel. 24
- hkl 2 4 4, 58.33 deg, d 1.582, rel. 27

Structure:
a b c (Å): 3.9618 14.8846 14.8570
angles (deg): 90.00 90.00 90.00
Space group Cmcm (No. 63)
Asymmetric unit:
Er (0.0000, 0.0405, 0.1256)
Er (0.0000, 0.2600, 0.6292)
Er (0.0000, 0.3935, 0.2500)
Ni (0.0000, 0.1868, 0.2500)
Ni (0.0000, 0.4136, 0.7500)
Te (0.0000, 0.3844, 0.0398)



Diffraction record for Er7Ni2Te2. The X-ray powder pattern is calculated, not measured: it uses a crystal structure in the Materials Project, relaxed with GGA-PBE and Cu Kα X-rays.
No peak broadening, texture or thermal motion is included.

Most intense lines, 2θ from 15° to 90°, sorted by position:
- hkl 1 3 0, 29.04 deg, d 3.075, rel. 22
- hkl 0 5 1, 30.36 deg, d 2.944, rel. 22
- hkl 1 1 2, 30.52 deg, d 2.929, rel. 52
- hkl 0 3 3, 33.15 deg, d 2.702, rel. 80
- hkl 1 4 1, 34.27 deg, d 2.617, rel. 100
- hkl 0 6 0, 34.75 deg, d 2.582, rel. 74
- hkl 1 0 3, 36.80 deg, d 2.443, rel. 22
- hkl 2 0 0, 47.49 deg, d 1.915, rel. 30
- hkl 1 7 2, 51.47 deg, d 1.776, rel. 27
- hkl 2 3 3, 59.14 deg, d 1.562, rel. 31

Structure:
a b c (Å): 3.8290 15.4798 9.5154
angles (deg): 90.00 90.00 90.00
Space group Imm2 (No. 44)
Asymmetric unit:
Er (0.0000, 0.0000, 0.0000)
Er (0.0000, 0.1335, 0.4183)
Er (0.0000, 0.3149, 0.6217)
Er (0.0000, 0.3535, 0.2714)
Ni (0.0000, 0.2371, 0.9286)
Te (0.0000, 0.0000, 0.6630)
Te (0.0000, 0.5000, 0.7653)



Diffraction record for YErNi2. The X-ray powder pattern is calculated, not measured: it uses a crystal structure in the Materials Project, relaxed with GGA-PBE and Cu Kα X-rays.
No peak broadening, texture or thermal motion is included.

Most intense lines, 2θ from 15° to 90°, sorted by position:
- hkl 1 1 1, 29.87 deg, d 2.991, rel. 75
- hkl 1 0 2, 33.19 deg, d 2.699, rel. 100
- hkl 0 2 1, 35.31 deg, d 2.542, rel. 86
- hkl 1 1 2, 37.18 deg, d 2.418, rel. 87
- hkl 0 1 3, 41.52 deg, d 2.175, rel. 47
- hkl 1 2 1, 41.69 deg, d 2.166, rel. 94
- hkl 2 0 0, 43.71 deg, d 2.071, rel. 51
- hkl 0 1 4, 54.23 deg, d 1.691, rel. 23
- hkl 2 2 1, 57.39 deg, d 1.605, rel. 42
- hkl 2 1 3, 61.86 deg, d 1.500, rel. 28

Structure:
a b c (Å): 4.1419 5.4422 7.1176
angles (deg): 90.00 90.00 90.00
Space group Pmc2_1 (No. 26)
Asymmetric unit:
Y (0.0000, 0.1222, 0.0000)
Er (0.5000, 0.3788, 0.3596)
Ni (0.0000, 0.3702, 0.6417)
Ni (0.5000, 0.1321, 0.7166)



Diffraction record for ErNp3. The X-ray powder pattern is calculated, not measured: it uses a crystal structure in the Materials Project, relaxed with GGA-PBE and Cu Kα X-rays.
No peak broadening, texture or thermal motion is included.

Most intense lines, 2θ from 15° to 90°, sorted by position:
- hkl 1 0 0, 18.91 deg, d 4.692, rel. 2
- hkl 1 1 0, 26.87 deg, d 3.318, rel. 1
- hkl 1 1 1, 33.07 deg, d 2.709, rel. 100
- hkl 2 0 0, 38.37 deg, d 2.346, rel. 51
- hkl 2 1 0, 43.11 deg, d 2.098, rel. 1
- hkl 2 1 1, 47.47 deg, d 1.915, rel. 1
- hkl 2 2 0, 55.39 deg, d 1.659, rel. 36
- hkl 3 1 1, 66.04 deg, d 1.415, rel. 43
- hkl 2 2 2, 69.39 deg, d 1.354, rel. 12
- hkl 4 0 0, 82.18 deg, d 1.173, rel. 6

Structure:
a b c (Å): 4.6918 4.6918 4.6918
angles (deg): 90.00 90.00 90.00
Space group Pm-3m (No. 221)
Asymmetric unit:
Er (0.0000, 0.0000, 0.0000)
Np (0.0000, 0.5000, 0.5000)



Diffraction record for ErNp3. The X-ray powder pattern is calculated, not measured: it uses a crystal structure in the Materials Project, relaxed with GGA-PBE and Cu Kα X-rays.
No peak broadening, texture or thermal motion is included.

Most intense lines, 2θ from 15° to 90°, sorted by position:
- hkl 1 1 2, 34.31 deg, d 2.614, rel. 100
- hkl 0 0 4, 39.73 deg, d 2.269, rel. 17
- hkl 2 0 0, 39.87 deg, d 2.261, rel. 33
- hkl 2 0 4, 57.55 deg, d 1.601, rel. 23
- hkl 2 2 0, 57.66 deg, d 1.599, rel. 12
- hkl 1 1 6, 68.65 deg, d 1.367, rel. 14
- hkl 3 1 2, 68.85 deg, d 1.364, rel. 28
- hkl 2 2 4, 72.30 deg, d 1.307, rel. 12
- hkl 0 0 8, 85.62 deg, d 1.134, rel. 2
- hkl 4 0 0, 86.00 deg, d 1.130, rel. 4

Structure:
a b c (Å): 4.5216 4.5216 9.0750
angles (deg): 90.00 90.00 90.00
Space group I4/mmm (No. 139)
Asymmetric unit:
Er (0.0000, 0.0000, 0.0000)
Np (0.0000, 0.0000, 0.5000)
Np (0.0000, 0.5000, 0.2500)



Diffraction record for ErO3. The X-ray powder pattern is calculated, not measured: it uses a crystal structure in the Materials Project, relaxed with GGA-PBE and Cu Kα X-rays.
No peak broadening, texture or thermal motion is included.

Most intense lines, 2θ from 15° to 90°, sorted by position:
- hkl 1 0 0, 15.88 deg, d 5.580, rel. 100
- hkl 1 1 0, 27.69 deg, d 3.221, rel. 64
- hkl 1 0 1, 30.98 deg, d 2.886, rel. 79
- hkl 2 0 1, 42.03 deg, d 2.150, rel. 45
- hkl 2 1 0, 42.88 deg, d 2.109, rel. 13
- hkl 3 0 0, 48.97 deg, d 1.860, rel. 21
- hkl 2 1 1, 51.08 deg, d 1.788, rel. 55
- hkl 1 1 2, 62.13 deg, d 1.494, rel. 14
- hkl 3 1 1, 66.47 deg, d 1.407, rel. 19
- hkl 2 3 1, 80.21 deg, d 1.197, rel. 13

Structure:
a b c (Å): 6.4429 6.4429 3.3725
angles (deg): 90.00 90.00 120.00
Space group P6_3/m (No. 176)
Asymmetric unit:
Er (0.3333, 0.6667, 0.2500)
O (0.0577, 0.4225, 0.7500)



Diffraction record for ErO2. The X-ray powder pattern is calculated, not measured: it uses a crystal structure in the Materials Project, relaxed with GGA-PBE and Cu Kα X-rays.
No peak broadening, texture or thermal motion is included.

Most intense lines, 2θ from 15° to 90°, sorted by position:
- hkl 0 0 1, 15.20 deg, d 5.829, rel. 43
- hkl 1 0 0, 22.40 deg, d 3.969, rel. 30
- hkl 1 0 -1, 23.05 deg, d 3.858, rel. 49
- hkl 0 1 1, 29.11 deg, d 3.068, rel. 100
- hkl 1 0 1, 30.80 deg, d 2.903, rel. 46
- hkl 1 0 -2, 32.24 deg, d 2.777, rel. 31
- hkl 1 1 0, 33.57 deg, d 2.670, rel. 38
- hkl 1 1 -1, 34.02 deg, d 2.635, rel. 45
- hkl 0 1 2, 39.76 deg, d 2.267, rel. 36
- hkl 1 1 2, 50.80 deg, d 1.797, rel. 32

Structure:
a b c (Å): 4.1572 3.6077 6.1063
angles (deg): 90.00 107.33 90.00
Space group P2_1/m (No. 11)
Asymmetric unit:
Er (0.1711, 0.2500, 0.3142)
O (0.1825, 0.7500, 0.0531)
O (0.2669, 0.7500, 0.5476)